1.
This entry pairs a crystal structure of La2Nd2CCl4F with its theoretical powder diffractogram. Radiation: CuKα. Structure: a crystal structure in OQMD, relaxed with PBE.
Kinematic intensities with the Lorentz-polarization factor, no thermal factor.

Top 10 peaks for 2θ = 10–90°, by angle:
h k l  d [Å]  Position (°2θ)  I/Imax
2 0 0  8.619  10.26  429
0 0 1  7.353  12.04  560
0 0 2  3.677  24.20  225
1 1 -1  3.362  26.51  244
3 1 0  3.149  28.34  422
6 0 0  2.873  31.13  569
3 1 1  2.760  32.44  229
1 1 -2  2.673  33.53  1000
7 1 -2  1.984  45.72  297
5 1 2  1.931  47.07  377

```
data_La2Nd2CCl4F
_chemical_formula_sum 'La4 Nd4 C2 Cl8 F2'
_symmetry_space_group_name_H-M 'C 1 2/m 1'
_symmetry_Int_Tables_number 12
_cell_length_a 17.809
_cell_length_b 3.764
_cell_length_c 7.596
_cell_angle_alpha 90.00
_cell_angle_beta 104.55
_cell_angle_gamma 90.00
loop_
_symmetry_equiv_pos_as_xyz
'x,y,z'
'-x,-y,-z'
'-x,y,-z'
'x,-y,z'
'x+1/2,y+1/2,z'
'-x+1/2,-y+1/2,-z'
'-x+1/2,y+1/2,-z'
'x+1/2,-y+1/2,z'
loop_
_atom_site_label
_atom_site_type_symbol
_atom_site_fract_x
_atom_site_fract_y
_atom_site_fract_z
La1 La 0.150 0.000 0.096
Nd1 Nd 0.002 0.500 0.765
C1 C 0.000 0.000 0.000
Cl1 Cl 0.160 0.500 0.381
Cl2 Cl 0.168 0.500 0.819
F1 F 0.000 0.000 0.500
```

---

2.
This entry pairs a crystal structure of FeRe2Pd with its theoretical powder diffractogram. Radiation: CuKα. Structure: a crystal structure in OQMD, relaxed with PBE.
Kinematic intensities with the Lorentz-polarization factor, no thermal factor.

Top 10 peaks for 2θ = 10–90°, by angle:
h k l  d [Å]  Position (°2θ)  I/Imax
0 1 1  4.744  18.70  191
1 1 1  3.197  27.91  97
0 4 0  2.371  37.95  246
2 0 0  2.164  41.75  256
1 2 2  2.080  43.52  1000
2 4 0  1.598  57.68  145
0 0 4  1.369  68.54  162
3 2 2  1.232  77.45  182
2 0 4  1.157  83.57  191
1 4 4  1.144  84.74  83

```
data_FeRe2Pd
_chemical_formula_sum 'Fe4 Re8 Pd4'
_symmetry_space_group_name_H-M 'A m a 2'
_symmetry_Int_Tables_number 40
_cell_length_a 4.327
_cell_length_b 9.478
_cell_length_c 5.481
_cell_angle_alpha 90.00
_cell_angle_beta 90.00
_cell_angle_gamma 90.00
loop_
_symmetry_equiv_pos_as_xyz
'x,y,z'
'-x,-y,z'
'-x+1/2,y,z'
'x+1/2,-y,z'
'x,y+1/2,z+1/2'
'-x,-y+1/2,z+1/2'
'-x+1/2,y+1/2,z+1/2'
'x+1/2,-y+1/2,z+1/2'
loop_
_atom_site_label
_atom_site_type_symbol
_atom_site_fract_x
_atom_site_fract_y
_atom_site_fract_z
Fe1 Fe 0.250 0.077 0.000
Re1 Re 0.250 0.081 0.475
Re2 Re 0.250 0.346 0.730
Pd1 Pd 0.250 0.335 0.243
```

---

3.
This entry pairs a crystal structure of Nb3SI4Cl3 with its theoretical powder diffractogram. Radiation: CuKα. Structure: a crystal structure in OQMD, relaxed with PBE.
Kinematic intensities with the Lorentz-polarization factor, no thermal factor.

Top 10 peaks for 2θ = 10–90°, by angle:
h k l  d [Å]  Position (°2θ)  I/Imax
0 0 1  6.736  13.14  571
0 1 1  4.652  19.08  236
1 1 1  3.252  27.43  133
0 1 2  2.984  29.95  197
0 2 1  2.902  30.81  1000
2 1 0  2.431  36.98  186
0 2 2  2.326  38.71  491
2 2 0  1.857  49.06  216
2 0 3  1.841  49.51  281
4 0 1  1.564  59.06  130

```
data_Nb3SI4Cl3
_chemical_formula_sum 'Nb3 S1 I4 Cl3'
_symmetry_space_group_name_H-M 'P 3 m 1'
_symmetry_Int_Tables_number 156
_cell_length_a 7.4269
_cell_length_b 7.4269
_cell_length_c 6.7357
_cell_angle_alpha 90.00
_cell_angle_beta 90.00
_cell_angle_gamma 120.00
loop_
_symmetry_equiv_pos_as_xyz
'x,y,z'
'-y,x-y,z'
'-x+y,-x,z'
'-y,-x,z'
'-x+y,y,z'
'x,x-y,z'
loop_
_atom_site_label
_atom_site_type_symbol
_atom_site_fract_x
_atom_site_fract_y
_atom_site_fract_z
Nb1 Nb 0.2039 0.4077 0.0000
S1 S 0.3333 0.6667 0.2597
I1 I 0.0000 0.0000 0.7721
I2 I 0.3395 0.1697 0.2332
Cl1 Cl 0.0192 0.5096 0.7661
```

---

4.
This entry pairs a crystal structure of Dy3Mg2InPdPt2 with its theoretical powder diffractogram. Radiation: CuKα. Structure: a crystal structure in OQMD, relaxed with PBE.
Kinematic intensities with the Lorentz-polarization factor, no thermal factor.

Top 10 peaks for 2θ = 10–90°, by angle:
h k l  d [Å]  Position (°2θ)  I/Imax
0 1 1  6.520  13.58  271
0 3 1  3.761  23.66  305
1 3 1  2.729  32.82  984
1 2 2  2.518  35.65  1000
0 1 3  2.466  36.44  208
0 3 3  2.174  41.54  214
0 6 0  2.166  41.70  158
1 4 2  2.093  43.23  192
2 0 0  1.984  45.74  237
1 8 2  1.397  66.99  186

```
data_Dy3Mg2InPdPt2
_chemical_formula_sum 'Dy6 Mg4 In2 Pd2 Pt4'
_symmetry_space_group_name_H-M 'A m m 2'
_symmetry_Int_Tables_number 38
_cell_length_a 3.967
_cell_length_b 12.997
_cell_length_c 7.541
_cell_angle_alpha 90.00
_cell_angle_beta 90.00
_cell_angle_gamma 90.00
loop_
_symmetry_equiv_pos_as_xyz
'x,y,z'
'-x,-y,z'
'-x,y,z'
'x,-y,z'
'x,y+1/2,z+1/2'
'-x,-y+1/2,z+1/2'
'-x,y+1/2,z+1/2'
'x,-y+1/2,z+1/2'
loop_
_atom_site_label
_atom_site_type_symbol
_atom_site_fract_x
_atom_site_fract_y
_atom_site_fract_z
Dy1 Dy 0.000 0.000 0.000
Dy2 Dy 0.000 0.204 0.371
Mg1 Mg 0.500 0.125 0.706
In1 In 0.500 0.000 0.335
Pd1 Pd 0.000 0.000 0.593
Pt1 Pt 0.500 0.169 0.075
```

---

5.
This entry pairs a crystal structure of SrAgTeO with its theoretical powder diffractogram. Radiation: CuKα. Structure: a crystal structure in OQMD, relaxed with PBE.
Kinematic intensities with the Lorentz-polarization factor, no thermal factor.

Top 10 peaks for 2θ = 10–90°, by angle:
h k l  d [Å]  Position (°2θ)  I/Imax
0 2 1  4.821  18.40  75
0 0 2  3.052  29.26  384
1 3 1  2.681  33.42  1000
0 6 0  2.619  34.23  113
0 6 1  2.407  37.36  102
0 6 2  1.988  45.64  133
2 0 0  1.816  50.24  100
1 3 3  1.681  54.58  239
2 0 2  1.561  59.20  102
2 6 2  1.341  70.20  70

```
data_SrAgTeO
_chemical_formula_sum 'Sr4 Ag4 Te4 O4'
_symmetry_space_group_name_H-M 'C m c m'
_symmetry_Int_Tables_number 63
_symmetry_space_group_name_Hall '-C 2c 2'
_cell_length_a 3.632
_cell_length_b 15.715
_cell_length_c 6.105
_cell_angle_alpha 90.00
_cell_angle_beta 90.00
_cell_angle_gamma 90.00
loop_
_atom_site_label
_atom_site_type_symbol
_atom_site_fract_x
_atom_site_fract_y
_atom_site_fract_z
Sr1 Sr 0.000 0.061 0.250
Ag1 Ag 0.000 0.385 0.250
Te1 Te 0.000 0.247 0.750
O1 O 0.000 0.500 0.000
```

---

6.
This entry pairs a crystal structure of SmLuCu2Sn2 with its theoretical powder diffractogram. Radiation: CuKα. Structure: a crystal structure in OQMD, relaxed with PBE.
Kinematic intensities with the Lorentz-polarization factor, no thermal factor.

Top 10 peaks for 2θ = 10–90°, by angle:
h k l  d [Å]  Position (°2θ)  I/Imax
1 0 0  3.932  22.61  100
1 0 1  3.455  25.79  127
1 0 2  2.662  33.66  1000
1 1 0  2.270  39.70  669
0 1 3  2.056  44.05  124
0 2 2  1.728  53.01  277
1 1 4  1.415  66.04  167
2 1 2  1.375  68.21  260
3 0 0  1.311  72.05  116
2 2 0  1.135  85.55  75

```
data_SmLuCu2Sn2
_chemical_formula_sum 'Sm1 Lu1 Cu2 Sn2'
_symmetry_space_group_name_H-M 'P 3 m 1'
_symmetry_Int_Tables_number 156
_cell_length_a 4.5408
_cell_length_b 4.5408
_cell_length_c 7.2354
_cell_angle_alpha 90.00
_cell_angle_beta 90.00
_cell_angle_gamma 120.00
loop_
_symmetry_equiv_pos_as_xyz
'x,y,z'
'-y,x-y,z'
'-x+y,-x,z'
'-y,-x,z'
'-x+y,y,z'
'x,x-y,z'
loop_
_atom_site_label
_atom_site_type_symbol
_atom_site_fract_x
_atom_site_fract_y
_atom_site_fract_z
Sm1 Sm 0.0000 0.0000 0.0000
Lu1 Lu 0.0000 0.0000 0.4987
Cu1 Cu 0.3333 0.6667 0.8036
Cu2 Cu 0.6667 0.3333 0.3291
Sn1 Sn 0.3333 0.6667 0.2386
Sn2 Sn 0.6667 0.3333 0.7224
```

---

7.
This entry pairs a crystal structure of Cs2Cu2NiTe4 with its theoretical powder diffractogram. Radiation: CuKα. Structure: a crystal structure in OQMD, relaxed with PBE.
Kinematic intensities with the Lorentz-polarization factor, no thermal factor.

Top 10 peaks for 2θ = 10–90°, by angle:
h k l  d [Å]  Position (°2θ)  I/Imax
1 3 1  3.285  27.14  1000
2 0 0  3.135  28.47  235
2 0 2  2.217  40.70  269
2 6 0  1.929  47.12  332
3 3 1  1.838  49.60  369
1 9 1  1.531  60.49  90
3 3 3  1.415  66.05  101
3 9 1  1.260  75.48  91
4 6 2  1.217  78.65  139
5 3 1  1.193  80.54  93

```
data_Cs2Cu2NiTe4
_chemical_formula_sum 'Cs4 Cu4 Ni2 Te8'
_symmetry_space_group_name_H-M 'C 2 2 2'
_symmetry_Int_Tables_number 21
_cell_length_a 6.267
_cell_length_b 14.677
_cell_length_c 6.274
_cell_angle_alpha 90.00
_cell_angle_beta 90.00
_cell_angle_gamma 90.00
loop_
_symmetry_equiv_pos_as_xyz
'x,y,z'
'-x,-y,z'
'x,-y,-z'
'-x,y,-z'
'x+1/2,y+1/2,z'
'-x+1/2,-y+1/2,z'
'x+1/2,-y+1/2,-z'
'-x+1/2,y+1/2,-z'
loop_
_atom_site_label
_atom_site_type_symbol
_atom_site_fract_x
_atom_site_fract_y
_atom_site_fract_z
Cs1 Cs 0.250 0.250 0.250
Cu1 Cu 0.000 0.000 0.000
Cu2 Cu 0.000 0.500 0.500
Ni1 Ni 0.000 0.000 0.500
Te1 Te 0.242 0.092 0.742
```

---

8.
This entry pairs a crystal structure of Ni2SnS3 with its theoretical powder diffractogram. Radiation: CuKα. Structure: a crystal structure in OQMD, relaxed with PBE.
Kinematic intensities with the Lorentz-polarization factor, no thermal factor.

Top 10 peaks for 2θ = 10–90°, by angle:
h k l  d [Å]  Position (°2θ)  I/Imax
0 2 2  3.569  24.95  265
0 4 0  3.285  27.14  326
1 1 1  3.188  27.99  271
1 3 1  2.629  34.11  1000
0 4 2  2.600  34.50  328
1 3 2  2.317  38.86  521
1 1 3  2.187  41.28  305
0 0 4  2.125  42.53  321
1 3 3  1.979  45.86  260
2 0 0  1.781  51.29  242

```
data_Ni2SnS3
_chemical_formula_sum 'Ni8 Sn4 S12'
_symmetry_space_group_name_H-M 'C m c m'
_symmetry_Int_Tables_number 63
_symmetry_space_group_name_Hall '-C 2c 2'
_cell_length_a 3.563
_cell_length_b 13.141
_cell_length_c 8.502
_cell_angle_alpha 90.00
_cell_angle_beta 90.00
_cell_angle_gamma 90.00
loop_
_atom_site_label
_atom_site_type_symbol
_atom_site_fract_x
_atom_site_fract_y
_atom_site_fract_z
Ni1 Ni 0.000 0.000 0.000
Ni2 Ni 0.000 0.475 0.250
Sn1 Sn 0.000 0.245 0.750
S1 S 0.000 0.071 0.250
S2 S 0.000 0.365 0.055
```

---

9.
This entry pairs a crystal structure of KGdMgTe3 with its theoretical powder diffractogram. Radiation: CuKα. Structure: a crystal structure in OQMD, relaxed with PBE.
Kinematic intensities with the Lorentz-polarization factor, no thermal factor.

Top 10 peaks for 2θ = 10–90°, by angle:
h k l  d [Å]  Position (°2θ)  I/Imax
0 2 0  8.003  11.06  814
0 0 2  5.960  14.86  236
0 2 3  3.559  25.02  602
1 3 0  3.447  25.85  723
1 3 1  3.312  26.92  614
0 0 4  2.983  29.96  1000
0 6 2  2.435  36.92  258
1 5 2  2.392  37.61  621
2 0 0  2.257  39.95  457
1 3 5  1.961  46.31  267

```
data_KGdMgTe3
_chemical_formula_sum 'K4 Gd4 Mg4 Te12'
_symmetry_space_group_name_H-M 'C m c m'
_symmetry_Int_Tables_number 63
_symmetry_space_group_name_Hall '-C 2c 2'
_cell_length_a 4.516
_cell_length_b 16.006
_cell_length_c 11.919
_cell_angle_alpha 90.00
_cell_angle_beta 90.00
_cell_angle_gamma 90.00
loop_
_atom_site_label
_atom_site_type_symbol
_atom_site_fract_x
_atom_site_fract_y
_atom_site_fract_z
K1 K 0.000 0.250 0.250
Gd1 Gd 0.000 0.000 0.000
Mg1 Mg 0.000 0.466 0.750
Te1 Te 0.000 0.072 0.750
Te2 Te 0.000 0.370 0.557
```

---

10.
This entry pairs a crystal structure of DyTm2In3NiGe2 with its theoretical powder diffractogram. Radiation: CuKα. Structure: a crystal structure in OQMD, relaxed with PBE.
Kinematic intensities with the Lorentz-polarization factor, no thermal factor.

Top 10 peaks for 2θ = 10–90°, by angle:
h k l  d [Å]  Position (°2θ)  I/Imax
1 0 2  2.754  32.51  1000
1 2 2  2.524  35.57  630
0 5 1  2.383  37.75  466
2 0 0  2.106  42.94  307
0 3 3  2.100  43.07  125
1 5 1  2.074  43.64  137
1 7 1  1.616  57.00  140
2 5 1  1.578  58.48  260
2 3 3  1.488  62.42  122
1 8 2  1.369  68.56  129

```
data_DyTm2In3NiGe2
_chemical_formula_sum 'Dy2 Tm4 In6 Ni2 Ge4'
_symmetry_space_group_name_H-M 'A m m 2'
_symmetry_Int_Tables_number 38
_cell_length_a 4.213
_cell_length_b 12.625
_cell_length_c 7.270
_cell_angle_alpha 90.00
_cell_angle_beta 90.00
_cell_angle_gamma 90.00
loop_
_symmetry_equiv_pos_as_xyz
'x,y,z'
'-x,-y,z'
'-x,y,z'
'x,-y,z'
'x,y+1/2,z+1/2'
'-x,-y+1/2,z+1/2'
'-x,y+1/2,z+1/2'
'x,-y+1/2,z+1/2'
loop_
_atom_site_label
_atom_site_type_symbol
_atom_site_fract_x
_atom_site_fract_y
_atom_site_fract_z
Dy1 Dy 0.000 0.000 0.000
Tm1 Tm 0.000 0.201 0.395
In1 In 0.500 0.000 0.356
In2 In 0.500 0.120 0.716
Ni1 Ni 0.000 0.000 0.594
Ge1 Ge 0.500 0.168 0.097
```

---

11.
This entry pairs a crystal structure of Sm2Sc2GeSb with its theoretical powder diffractogram. Radiation: CuKα. Structure: a crystal structure in OQMD, relaxed with PBE.
Kinematic intensities with the Lorentz-polarization factor, no thermal factor.

Top 10 peaks for 2θ = 10–90°, by angle:
h k l  d [Å]  Position (°2θ)  I/Imax
1 0 3  3.389  26.30  391
1 1 0  3.092  28.88  1000
1 1 2  2.886  30.99  784
0 0 6  2.681  33.42  287
1 0 5  2.591  34.61  980
1 1 4  2.451  36.66  855
2 0 0  2.186  41.30  790
2 0 6  1.694  54.13  283
2 1 5  1.671  54.95  518
1 0 9  1.655  55.54  290

```
data_Sm2Sc2GeSb
_chemical_formula_sum 'Sm4 Sc4 Ge2 Sb2'
_symmetry_space_group_name_H-M 'I 4 m m'
_symmetry_Int_Tables_number 107
_symmetry_space_group_name_Hall 'I 4 -2'
_cell_length_a 4.372
_cell_length_b 4.372
_cell_length_c 16.088
_cell_angle_alpha 90.00
_cell_angle_beta 90.00
_cell_angle_gamma 90.00
loop_
_atom_site_label
_atom_site_type_symbol
_atom_site_fract_x
_atom_site_fract_y
_atom_site_fract_z
Sm1 Sm 0.000 0.000 0.000
Sm2 Sm 0.000 0.000 0.353
Sc1 Sc 0.000 0.500 0.189
Ge1 Ge 0.000 0.000 0.806
Sb1 Sb 0.000 0.000 0.554
```